Record 1
Structure and simulated powder diffractogram of Cd2NiHg (the GGA-PBE geometry in Alexandria; Cu Kα X-rays).
Lines closer than 0.1° are merged.

Cell and atoms:
```
4
Lattice="3.0615 0.0000 0.0000 0.0000 3.0615 0.0000 0.0000 0.0000 8.1784" Properties=species:S:1:pos:R:3 pbc="T T T"
Cd 0.0000 0.0000 0.0000
Cd 1.5307 1.5307 2.3900
Ni 1.5307 1.5307 6.5106
Hg 0.0000 0.0000 4.8062
```

Principal peaks in the range 2θ = 10–90°, sorted by position:
Position (°2θ)  intensity
10.82  15
29.17  8
31.19  19
32.85  14
36.67  100
41.72  42
44.50  10
54.10  13
60.48  14
62.48  11
64.60  12
72.85  26

Record 2
Structure and simulated powder diffractogram of NpCd23Hg6 (the GGA-PBE geometry in Alexandria; Cu Kα X-rays).
Lines closer than 0.1° are merged.

Cell and atoms:
```
30
Lattice="0.0000 7.1178 7.1178 7.1178 0.0000 7.1178 7.1178 7.1178 0.0000" Properties=species:S:1:pos:R:3 pbc="T T T"
Np 0.0000 0.0000 0.0000
Cd 3.5589 3.5589 0.0000
Cd 3.5589 0.0000 3.5589
Cd 7.1178 3.5589 3.5589
Cd 8.8893 5.3464 5.3464
Cd 2.1120 2.1120 2.1120
Cd 5.0058 5.0058 2.1120
Cd 5.0058 2.1120 5.0058
Cd 5.3464 5.3464 5.3464
Cd 8.8893 8.8893 5.3464
Cd 8.8893 5.3464 8.8893
Cd 12.1236 9.2298 9.2298
Cd 0.0000 3.5589 3.5589
Cd 3.5589 7.1178 3.5589
Cd 3.5589 3.5589 7.1178
Cd 7.1178 7.1178 7.1178
Cd 2.1120 5.0058 5.0058
Cd 5.3464 8.8893 5.3464
Cd 5.3464 5.3464 8.8893
Cd 8.8893 8.8893 8.8893
Cd 9.2298 12.1236 9.2298
Cd 9.2298 9.2298 12.1236
Cd 12.1236 12.1236 12.1236
Cd 5.3464 8.8893 8.8893
Hg 7.1178 7.1178 3.2502
Hg 7.1178 3.2502 7.1178
Hg 10.9854 7.1178 7.1178
Hg 3.2502 7.1178 7.1178
Hg 7.1178 10.9854 7.1178
Hg 7.1178 7.1178 10.9854
```

Principal peaks in the range 2θ = 10–90°, sorted by position:
Position (°2θ)  intensity
28.03  13
32.69  16
35.68  100
37.92  6
49.16  7
51.35  14
53.05  5
62.21  6
64.09  24
68.14  9
75.57  7
86.47  7

Record 3
Structure and simulated powder diffractogram of NpCd5SnHg4 (the GGA-PBE geometry in Alexandria; Cu Kα X-rays).
Lines closer than 0.1° are merged.

Cell and atoms:
```
11
Lattice="5.4273 0.0000 0.0000 0.0000 5.4273 0.0000 0.0000 0.0000 9.9015" Properties=species:S:1:pos:R:3 pbc="T T T"
Np 0.0000 0.0000 0.0000
Cd 0.0000 2.7136 1.8778
Cd 0.0000 2.7136 8.0237
Cd 2.7136 0.0000 1.8778
Cd 2.7136 0.0000 8.0237
Cd 2.7136 2.7136 4.9507
Sn 2.7136 2.7136 0.0000
Hg 0.0000 0.0000 3.2249
Hg 0.0000 0.0000 6.6766
Hg 0.0000 2.7136 4.9507
Hg 2.7136 0.0000 4.9507
```

Principal peaks in the range 2θ = 10–90°, sorted by position:
Position (°2θ)  intensity
16.33  24
31.73  25
33.01  88
35.89  100
46.44  18
47.38  32
49.86  11
60.83  44
66.29  19
69.25  10
76.07  13
78.88  15

Record 4
Structure and simulated powder diffractogram of CdHgO2 (the GGA-PBE geometry in Alexandria; Cu Kα X-rays).
Lines closer than 0.1° are merged.

Cell and atoms:
```
8
Lattice="6.1941 0.0000 0.0000 0.0000 3.5681 0.0000 -1.5504 0.0000 6.2726" Properties=species:S:1:pos:R:3 pbc="T T T"
Cd 0.0000 0.0000 0.0000
Cd 3.0971 1.7840 0.0000
Hg -0.7752 1.7840 3.1363
Hg 2.3219 0.0000 3.1363
O -0.5228 1.7840 5.1345
O 2.0694 0.0000 1.1381
O 2.5743 0.0000 5.1345
O 5.1665 1.7840 1.1381
```

Principal peaks in the range 2θ = 10–90°, sorted by position:
Position (°2θ)  intensity
28.46  49
29.71  59
30.83  100
34.06  58
36.08  27
46.59  18
49.67  27
51.23  40
56.19  20
59.61  22
60.33  16
61.67  24

Record 5
Structure and simulated powder diffractogram of PuCdHgO5 (the GGA-PBE geometry in Alexandria; Cu Kα X-rays).
Lines closer than 0.1° are merged.

Cell and atoms:
```
16
Lattice="3.6196 -5.6044 0.0000 3.6196 5.6044 0.0000 -2.6742 0.0000 6.9502" Properties=species:S:1:pos:R:3 pbc="T T T"
Pu 1.8098 2.8022 0.0000
Pu 0.4727 -2.8022 3.4751
Cd 1.6139 5.5373 5.2126
Cd 2.9510 -5.5373 1.7375
Hg 2.9510 0.1544 1.7375
Hg 1.6139 -0.1544 5.2126
O 1.1757 0.6126 0.7062
O 2.9510 3.3557 1.7375
O 0.6271 1.9915 6.2603
O -0.1614 -0.6126 4.1813
O 2.6008 1.9915 4.1650
O 1.9642 -1.9915 2.7852
O 4.7263 0.6126 2.7689
O 3.9379 -1.9915 0.6899
O 1.6139 -3.3557 5.2126
O 3.3892 -0.6126 6.2440
```

Principal peaks in the range 2θ = 10–90°, sorted by position:
Position (°2θ)  intensity
16.65  100
22.82  40
29.53  49
30.26  95
30.91  80
31.94  43
43.56  24
44.05  37
52.43  23
53.66  22
55.02  19
56.27  18

Record 6
Structure and simulated powder diffractogram of Rb6Cd2HgO (the GGA-PBE geometry in Alexandria; Cu Kα X-rays).
Lines closer than 0.1° are merged.

Cell and atoms:
```
10
Lattice="6.3076 -6.3088 0.0000 6.3076 6.3088 0.0000 -6.2978 0.0000 6.3077" Properties=species:S:1:pos:R:3 pbc="T T T"
Rb 0.0000 0.0000 0.0000
Rb -2.7572 0.0000 2.7659
Rb 3.5451 3.5480 0.0035
Rb 3.5451 -3.5480 0.0035
Rb 7.0951 0.0000 0.0051
Rb 3.5542 0.0000 3.5523
Cd 0.3977 3.1529 3.1494
Cd 0.3977 -3.1529 3.1494
Hg 3.5477 0.0000 0.0092
O 9.8551 0.0000 0.0041
```

Principal peaks in the range 2θ = 10–90°, sorted by position:
Position (°2θ)  intensity
14.04  18
19.91  50
23.39  33
24.44  57
28.30  100
30.89  44
40.45  67
45.47  20
50.09  21
54.42  18
55.99  24
66.26  22

Record 7
Structure and simulated powder diffractogram of CdReHgO6 (the GGA-PBE geometry in Alexandria; Cu Kα X-rays).
Lines closer than 0.1° are merged.

Cell and atoms:
```
9
Lattice="5.2584 0.0000 0.0000 1.4199 5.1531 0.0000 2.1612 1.3479 5.3247" Properties=species:S:1:pos:R:3 pbc="T T T"
Cd 0.0000 0.0000 0.0000
Re 2.6324 1.7561 1.8651
Hg 5.7629 4.1764 3.3968
O 1.8019 2.9569 0.8446
O 4.3328 5.6304 3.4242
O 3.0484 0.4488 0.6934
O 4.2368 2.4663 1.9822
O 6.0055 0.7092 1.9271
O 7.1247 2.6620 3.5097
```

Principal peaks in the range 2θ = 10–90°, sorted by position:
Position (°2θ)  intensity
16.65  16
22.10  100
23.37  13
27.31  55
27.80  49
28.55  46
33.04  29
34.05  34
35.80  43
37.65  18
38.62  19
53.81  14

Record 8
Structure and simulated powder diffractogram of CdHg2SeO6 (the GGA-PBE geometry in Alexandria; Cu Kα X-rays).
Lines closer than 0.1° are merged.

Cell and atoms:
```
20
Lattice="7.0165 0.0000 0.0000 3.1644 6.6127 0.0000 2.7960 0.9257 7.1317" Properties=species:S:1:pos:R:3 pbc="T T T"
Cd 3.1118 2.6670 2.0485
Cd 9.8651 4.8714 5.0832
Hg 4.6455 5.9405 2.1033
Hg 4.8489 1.6046 5.0425
Hg 8.1280 5.9339 2.0892
Hg 8.3314 1.5979 5.0284
Se 6.3692 4.9526 5.8292
Se 6.6077 2.5859 1.3025
O 3.0970 2.5955 4.5245
O 5.0775 5.3179 4.8054
O 6.7995 6.3261 6.6613
O 5.9237 3.6792 6.8320
O 3.2332 0.3831 1.8232
O 5.3566 3.1043 2.3121
O 7.6203 4.4341 4.8196
O 9.7437 7.1554 5.3085
O 7.0532 3.8592 0.2997
O 6.1774 1.2123 0.4704
O 7.8994 2.2205 2.3263
O 9.8799 4.9429 2.6072
```

Principal peaks in the range 2θ = 10–90°, sorted by position:
Position (°2θ)  intensity
19.53  19
24.97  64
26.88  18
28.48  100
29.46  26
31.46  37
31.84  39
32.34  23
32.86  17
35.31  19
44.08  19
50.12  15

Record 9
Structure and simulated powder diffractogram of Tb4CdHgO (the GGA-PBE geometry in Alexandria; Cu Kα X-rays).
Lines closer than 0.1° are merged.

Cell and atoms:
```
14
Lattice="3.3705 -7.6261 0.0000 3.3705 7.6261 0.0000 0.0000 0.0000 6.7520" Properties=species:S:1:pos:R:3 pbc="T T T"
Tb 1.6853 3.8131 0.0000
Tb 1.6853 3.8131 3.3760
Tb 3.3705 6.5227 5.0640
Tb 3.3705 1.1701 5.0640
Tb 1.6853 -3.8131 0.0000
Tb 1.6853 -3.8131 3.3760
Tb 3.3705 -1.1701 1.6880
Tb 3.3705 -6.5227 1.6880
Cd 3.3705 1.8061 1.6880
Cd 3.3705 -1.8061 5.0640
Hg 3.3705 5.7951 1.6880
Hg 3.3705 -5.7951 5.0640
O 3.3705 3.7879 5.0640
O 3.3705 -3.7879 1.6880
```

Principal peaks in the range 2θ = 10–90°, sorted by position:
Position (°2θ)  intensity
26.42  24
28.94  88
34.91  38
35.31  25
35.53  100
37.71  79
52.33  24
52.62  31
54.40  27
62.79  20
66.53  15
66.67  32

Record 10
Structure and simulated powder diffractogram of CdHg2TeO6 (the GGA-PBE geometry in Alexandria; Cu Kα X-rays).
Lines closer than 0.1° are merged.

Cell and atoms:
```
10
Lattice="2.8802 1.6629 4.7926 -2.8802 1.6629 4.7926 0.0000 -3.3257 4.7926" Properties=species:S:1:pos:R:3 pbc="T T T"
Cd 0.0000 0.0000 0.0000
Hg 0.0000 0.0000 3.5935
Hg 0.0000 0.0000 10.7843
Te 0.0000 0.0000 7.1889
O -1.6015 0.1793 6.0522
O -0.9561 -1.2973 8.3256
O 0.6455 -1.4766 6.0522
O -0.6455 1.4766 8.3256
O 0.9561 1.2973 6.0522
O 1.6015 -0.1793 8.3256
```

Principal peaks in the range 2θ = 10–90°, sorted by position:
Position (°2θ)  intensity
21.68  11
30.66  100
31.05  89
44.20  43
54.25  20
54.99  41
55.24  23
63.84  14
64.73  12
72.68  18
73.32  16
89.97  12

Record 11
Structure and simulated powder diffractogram of CdHg2SbOs (the GGA-PBE geometry in Alexandria; Cu Kα X-rays).
Lines closer than 0.1° are merged.

Cell and atoms:
```
5
Lattice="5.2118 0.0000 0.0000 0.0000 5.2118 0.0000 0.0000 0.0000 5.2261" Properties=species:S:1:pos:R:3 pbc="T T T"
Cd 0.0000 0.0000 0.0000
Hg 0.0000 2.6059 0.0000
Hg 2.6059 0.0000 0.0000
Sb 2.6059 2.6059 2.6130
Os 0.0000 0.0000 2.6130
```

Principal peaks in the range 2θ = 10–90°, sorted by position:
Position (°2θ)  intensity
16.99  29
29.66  100
34.38  99
38.59  15
49.42  71
58.61  15
58.74  30
61.59  25
72.55  8
80.17  13
82.61  11
82.80  22

Record 12
Structure and simulated powder diffractogram of Pa2Cd3Hg3 (the GGA-PBE geometry in Alexandria; Cu Kα X-rays).
Lines closer than 0.1° are merged.

Cell and atoms:
```
8
Lattice="4.4281 2.5566 2.9224 -4.4281 2.5566 2.9224 0.0000 -5.1131 2.9224" Properties=species:S:1:pos:R:3 pbc="T T T"
Pa 0.0000 0.0000 1.3008
Pa 0.0000 0.0000 7.4664
Cd -2.0070 0.0000 4.3836
Cd 1.0035 -1.7381 4.3836
Cd 1.0035 1.7381 4.3836
Hg -1.4514 -2.5993 2.9224
Hg -1.5254 2.5566 2.9224
Hg 2.9767 0.0427 2.9224
```

Principal peaks in the range 2θ = 10–90°, sorted by position:
Position (°2θ)  intensity
20.05  26
25.35  17
32.53  36
35.10  70
36.85  100
37.18  13
40.75  17
51.80  21
52.33  13
54.85  15
64.12  46
74.84  13

Record 13
Structure and simulated powder diffractogram of Cd4Hg12Pb (the GGA-PBE geometry in Alexandria; Cu Kα X-rays).
Lines closer than 0.1° are merged.

Cell and atoms:
```
17
Lattice="7.1204 4.1110 2.9005 -7.1204 4.1110 2.9005 0.0000 -8.2219 2.9005" Properties=species:S:1:pos:R:3 pbc="T T T"
Cd 0.0000 0.0000 0.0000
Cd -3.5602 -2.0555 2.9005
Cd -3.5602 2.0555 5.8010
Cd 0.0000 4.1109 2.9005
Hg -2.4885 0.2230 1.4648
Hg 1.0511 -2.2665 1.4648
Hg -1.0538 -3.4807 3.1772
Hg -2.4874 2.6530 3.1772
Hg 1.4373 2.0436 1.4648
Hg -3.5412 -0.8277 5.5243
Hg 3.5412 0.8277 3.1772
Hg -1.4373 -2.0436 7.2366
Hg 2.4874 -2.6529 5.5243
Hg 1.0538 3.4807 5.5243
Hg -1.0511 2.2665 7.2366
Hg 2.4885 -0.2230 7.2366
Pb 0.0000 0.0000 4.3507
```

Principal peaks in the range 2θ = 10–90°, sorted by position:
Position (°2θ)  intensity
28.04  100
33.32  38
40.07  18
44.09  20
45.99  44
53.06  8
54.73  10
62.59  11
64.08  7
71.39  12
74.18  6
82.42  13